Diffraction record for Li5Fe4Si6O20. The X-ray powder pattern is simulated, not measured: it uses a DFT-relaxed cell (PBE+U, Alexandria) and a wavelength of 1.5418 Å.
Neutral-atom scattering factors, no anomalous dispersion.

Structural model:
```
data_Li5Fe4Si6O20
_cell_length_a 5.364
_cell_length_b 5.451
_cell_length_c 16.879
_cell_angle_alpha 88.66
_cell_angle_beta 84.22
_cell_angle_gamma 60.92
_space_group_name_H-M_alt 'P 1'
_space_group_IT_number 1
loop_
_space_group_symop_operation_xyz
'x,y,z'
loop_
_atom_site_label
_atom_site_fract_x
_atom_site_fract_y
_atom_site_fract_z
Li1 0.000 0.000 0.000
Li2 0.006 0.335 0.108
Li3 0.035 0.845 0.504
Li4 0.162 0.234 0.778
Li5 0.942 0.149 0.332
Fe1 0.284 0.672 0.160
Fe2 0.357 0.872 0.637
Fe3 0.678 0.675 0.975
Fe4 0.715 0.518 0.479
Si1 0.352 0.343 0.949
Si2 0.396 0.177 0.455
Si3 0.520 0.816 0.310
Si4 0.530 0.541 0.802
Si5 0.654 0.983 0.147
Si6 0.699 0.218 0.651
O1 0.058 0.336 0.984
O2 0.106 0.466 0.486
O3 0.260 0.800 0.274
O4 0.324 0.806 0.751
O5 0.345 0.618 0.989
O6 0.348 0.394 0.850
O7 0.352 0.112 0.365
O8 0.356 0.279 0.148
O9 0.415 0.180 0.662
O10 0.422 0.903 0.508
O11 0.636 0.492 0.594
O12 0.637 0.048 0.965
O13 0.640 0.725 0.100
O14 0.706 0.171 0.458
O15 0.715 0.557 0.366
O16 0.717 0.597 0.861
O17 0.727 0.859 0.239
O18 0.771 0.298 0.737
O19 0.937 0.013 0.116
O20 0.986 0.943 0.614
```

Principal peaks in the range 10° ≤ 2θ ≤ 90°, by intensity:
19.0 deg, I = 100, hkl 1 0 0; 21.2 deg, I = 71, hkl 0 1 -2; 32.0 deg, I = 62, hkl 0 0 6; 10.5 deg, I = 59, hkl 0 0 2; 19.2 deg, I = 37, hkl 0 1 -1; 33.5 deg, I = 34, hkl 2 1 1; 19.4 deg, I = 33, hkl 1 1 1; 32.8 deg, I = 28, hkl 1 -1 1; 21.7 deg, I = 26, hkl 0 1 2; 22.5 deg, I = 24, hkl 1 1 -2